[1]
The following is a computed X-ray diffraction stick pattern of Sm2Ho2CI3Cl2. It was derived from a PBE-relaxed structure, using a wavelength of 1.5418 Å.
Intensities are scaled so that the largest is 100.

Top 10 peaks for 2θ = 15–90°, in order of rising 2θ:
d 4.244, 20.93 deg, I 14; d 3.157, 28.27 deg, I 23; d 2.899, 30.85 deg, I 32; d 2.886, 30.99 deg, I 100; d 2.620, 34.23 deg, I 14; d 2.488, 36.11 deg, I 18; d 2.052, 44.14 deg, I 18; d 2.028, 44.69 deg, I 21; d 1.959, 46.35 deg, I 13; d 1.620, 56.84 deg, I 11

Unit cell a=9.0795 b=9.0795 c=8.5539 alpha=102.65 beta=102.65 gamma=24.92
Element x y z (fractional)
Sm 0.1425 0.1425 0.0679
Sm 0.8575 0.8575 0.9321
Ho 0.4969 0.4969 0.1875
Ho 0.5031 0.5031 0.8125
C 0.0000 0.0000 0.0000
I 0.0000 0.0000 0.5000
I 0.3306 0.3306 0.6475
I 0.6694 0.6694 0.3525
Cl 0.3347 0.3347 0.1563
Cl 0.6653 0.6653 0.8437


[2]
The following is a computed X-ray diffraction stick pattern of Sm2Ho2CICl4. It was derived from a PBE-relaxed structure, using a wavelength of 1.5418 Å.
Intensities are scaled so that the largest is 100.

Top 10 peaks for 2θ = 15–90°, in order of rising 2θ:
d 4.184, 21.23 deg, I 18; d 3.149, 28.34 deg, I 20; d 3.098, 28.82 deg, I 33; d 2.830, 31.61 deg, I 100; d 2.796, 32.01 deg, I 40; d 2.774, 32.27 deg, I 49; d 2.391, 37.61 deg, I 21; d 1.998, 45.40 deg, I 27; d 1.965, 46.19 deg, I 30; d 1.912, 47.55 deg, I 20

Unit cell a=8.8459 b=8.8459 c=8.4202 alpha=105.11 beta=105.11 gamma=24.97
Element x y z (fractional)
Sm 0.1475 0.1475 0.0844
Sm 0.8525 0.8525 0.9156
Ho 0.4997 0.4997 0.1916
Ho 0.5003 0.5003 0.8084
C 0.0000 0.0000 0.0000
I 0.0000 0.0000 0.5000
Cl 0.3332 0.3332 0.1506
Cl 0.3375 0.3375 0.6700
Cl 0.6625 0.6625 0.3300
Cl 0.6668 0.6668 0.8494


[3]
The following is a computed X-ray diffraction stick pattern of Sm2Ho2CI4Cl. It was derived from a PBE-relaxed structure, using a wavelength of 1.5418 Å.
Intensities are scaled so that the largest is 100.

Top 10 peaks for 2θ = 15–90°, in order of rising 2θ:
d 3.831, 23.22 deg, I 21; d 3.088, 28.91 deg, I 49; d 2.946, 30.34 deg, I 21; d 2.855, 31.33 deg, I 100; d 2.771, 32.31 deg, I 27; d 2.692, 33.28 deg, I 33; d 2.464, 36.46 deg, I 18; d 2.097, 43.15 deg, I 53; d 1.958, 46.38 deg, I 20; d 1.654, 55.58 deg, I 17

Unit cell a=9.6928 b=9.6928 c=8.3462 alpha=102.35 beta=102.35 gamma=23.31
Element x y z (fractional)
Sm 0.1336 0.1336 0.0707
Sm 0.8664 0.8664 0.9293
Ho 0.4987 0.4987 0.1981
Ho 0.5013 0.5013 0.8019
C 0.0000 0.0000 0.0000
I 0.3326 0.3326 0.1913
I 0.3395 0.3395 0.6378
I 0.6605 0.6605 0.3622
I 0.6674 0.6674 0.8087
Cl 0.0000 0.0000 0.5000


[4]
The following is a computed X-ray diffraction stick pattern of Sm2Ho2CI3Cl2. It was derived from a PBE-relaxed structure, using a wavelength of 1.5418 Å.
Intensities are scaled so that the largest is 100.

Top 10 peaks for 2θ = 15–90°, in order of rising 2θ:
d 4.236, 20.97 deg, I 32; d 3.174, 28.11 deg, I 23; d 2.934, 30.46 deg, I 100; d 2.923, 30.59 deg, I 44; d 2.870, 31.16 deg, I 38; d 2.665, 33.63 deg, I 19; d 2.548, 35.22 deg, I 21; d 2.073, 43.67 deg, I 22; d 2.031, 44.61 deg, I 25; d 1.627, 56.58 deg, I 19

Unit cell a=9.0422 b=9.0422 c=8.7765 alpha=102.34 beta=102.34 gamma=25.22
Element x y z (fractional)
Sm 0.0039 0.0039 0.3086
Sm 0.9961 0.9961 0.6914
Ho 0.3617 0.3617 0.4356
Ho 0.6383 0.6383 0.5644
C 0.5000 0.5000 0.5000
I 0.1758 0.1758 0.8315
I 0.5000 0.5000 0.0000
I 0.8242 0.8242 0.1685
Cl 0.1719 0.1719 0.3704
Cl 0.8281 0.8281 0.6296


[5]
The following is a computed X-ray diffraction stick pattern of Sm2Ho2CI2Cl3. It was derived from a PBE-relaxed structure, using a wavelength of 1.5418 Å.
Intensities are scaled so that the largest is 100.

Top 10 peaks for 2θ = 15–90°, in order of rising 2θ:
d 3.424, 26.02 deg, I 23; d 3.016, 29.62 deg, I 49; d 2.755, 32.50 deg, I 100; d 2.636, 34.01 deg, I 24; d 2.628, 34.12 deg, I 33; d 2.598, 34.52 deg, I 25; d 2.180, 41.42 deg, I 18; d 2.056, 44.04 deg, I 29; d 2.012, 45.05 deg, I 21; d 1.911, 47.60 deg, I 20

Unit cell a=9.4028 b=9.4028 c=7.9550 alpha=100.45 beta=100.45 gamma=23.45
Element x y z (fractional)
Sm 0.1364 0.1364 0.0745
Sm 0.8636 0.8636 0.9255
Ho 0.4974 0.4974 0.2055
Ho 0.5026 0.5026 0.7945
C 0.0000 0.0000 0.0000
I 0.3271 0.3271 0.2102
I 0.6729 0.6729 0.7898
Cl 0.0000 0.0000 0.5000
Cl 0.3553 0.3553 0.6679
Cl 0.6447 0.6447 0.3321


[6]
The following is a computed X-ray diffraction stick pattern of Sm2Ho2CI4Cl. It was derived from a PBE-relaxed structure, using a wavelength of 1.5418 Å.
Intensities are scaled so that the largest is 100.

Top 10 peaks for 2θ = 15–90°, in order of rising 2θ:
d 3.161, 28.23 deg, I 38; d 2.974, 30.05 deg, I 16; d 2.847, 31.42 deg, I 100; d 2.802, 31.94 deg, I 18; d 2.783, 32.16 deg, I 17; d 2.730, 32.80 deg, I 37; d 2.121, 42.64 deg, I 23; d 2.110, 42.85 deg, I 21; d 2.063, 43.88 deg, I 16; d 1.966, 46.16 deg, I 18

Unit cell a=9.8885 b=9.8885 c=8.2538 alpha=101.66 beta=101.66 gamma=22.94
Element x y z (fractional)
Sm 0.0016 0.0016 0.2918
Sm 0.9984 0.9984 0.7082
Ho 0.3742 0.3742 0.4343
Ho 0.6258 0.6258 0.5657
C 0.5000 0.5000 0.5000
I 0.1633 0.1633 0.8492
I 0.1695 0.1695 0.3229
I 0.8305 0.8305 0.6771
I 0.8367 0.8367 0.1508
Cl 0.5000 0.5000 0.0000